# 1
Structure and simulated powder XRD pattern of Ca2Hg2H (a structure optimized by DFT (GGA-PBE); copper Kα).
No peak broadening, texture or thermal motion is included.

Largest 12 diffraction maxima, by angle, 10° ≤ 2θ ≤ 90°:
2θ/deg  intensity  index
17.0  44  0 0 1
17.9  22  1 1 0
24.8  15  1 1 1
28.5  35  2 1 0
33.4  100  2 1 1
34.4  21  0 0 2
40.7  15  3 1 0
44.4  13  3 1 1
45.3  21  2 1 2
54.3  13  3 1 2
61.0  18  2 1 3
75.3  13  5 2 1

Structure:
```
data_Ca2Hg2H
_chemical_formula_sum 'Ca4 Hg4 H2'
_cell_length_a 7.0092
_cell_length_b 7.0092
_cell_length_c 5.2104
_cell_angle_alpha 90.00
_cell_angle_beta 90.00
_cell_angle_gamma 90.00
_symmetry_space_group_name_H-M 'P 4/m b m'
_symmetry_Int_Tables_number 127
_symmetry_space_group_name_Hall '-P 4 2ab'
loop_
_atom_site_label
_atom_site_fract_x
_atom_site_fract_y
_atom_site_fract_z
Ca1 0.1834 0.3166 0.0000
Hg1 0.1453 0.6453 0.5000
H1 0.0000 0.0000 0.0000
```

***

# 2
Structure and simulated powder XRD pattern of Ca2HgH6Ir (a structure optimized by DFT (GGA-PBE); copper Kα).
No peak broadening, texture or thermal motion is included.

Largest 12 diffraction maxima, by angle, 10° ≤ 2θ ≤ 90°:
2θ/deg  intensity  index
21.9  91  1 0 0
24.2  20  0 0 2
32.8  100  0 1 2
38.4  40  1 1 0
44.6  14  2 0 0
45.9  23  1 1 2
51.4  29  2 0 2
54.8  19  1 0 4
60.3  12  2 1 0
64.4  14  1 1 4
65.9  27  1 2 2
81.7  13  2 1 4

Structure:
```
data_Ca2HgH6Ir
_chemical_formula_sum 'Ca2 Hg1 H6 Ir1'
_cell_length_a 4.6906
_cell_length_b 4.6906
_cell_length_c 7.3574
_cell_angle_alpha 90.00
_cell_angle_beta 90.00
_cell_angle_gamma 120.00
_symmetry_space_group_name_H-M 'P -3 m 1'
_symmetry_Int_Tables_number 164
_symmetry_space_group_name_Hall '-P 3 2"'
loop_
_atom_site_label
_atom_site_fract_x
_atom_site_fract_y
_atom_site_fract_z
Ca1 0.3333 0.6667 0.1984
Hg1 0.0000 0.0000 0.5000
H1 0.1701 0.3402 0.8702
Ir1 0.0000 0.0000 0.0000
```

***

# 3
Structure and simulated powder XRD pattern of CaHoNi2H8 (a structure optimized by DFT (GGA-PBE); copper Kα).
No peak broadening, texture or thermal motion is included.

Largest 12 diffraction maxima, by angle, 10° ≤ 2θ ≤ 90°:
2θ/deg  intensity  index
10.9  49  0 0 3
25.4  16  1 0 1
29.2  100  1 0 4
36.3  10  1 0 7
39.1  45  0 1 8
44.3  32  1 1 0
44.9  9  0 0 12
54.0  18  0 2 4
60.6  12  2 0 8
64.9  19  1 1 12
72.3  14  2 1 4
78.1  11  1 2 8

Structure:
```
data_CaHoNi2H8
_chemical_formula_sum 'Ca3 Ho3 Ni6 H24'
_cell_length_a 4.0884
_cell_length_b 4.0884
_cell_length_c 24.2499
_cell_angle_alpha 90.00
_cell_angle_beta 90.00
_cell_angle_gamma 120.00
_symmetry_space_group_name_H-M 'R -3 m'
_symmetry_Int_Tables_number 166
_symmetry_space_group_name_Hall '-R 3 2"'
loop_
_atom_site_label
_atom_site_fract_x
_atom_site_fract_y
_atom_site_fract_z
Ca1 0.0000 0.0000 0.0000
Ho1 0.0000 0.0000 0.5000
Ni1 0.0000 0.0000 0.2460
H1 0.0000 0.0000 0.3113
H2 0.0345 0.5173 0.5463
```